1.
For Pm4YTm, DFT lattice parameters and positions (PBE) gives the computed XRD peak list in this record (CuKα).
Kinematic intensities with the Lorentz-polarization factor, no thermal factor.

Peak list (10 most intense, 2θ = 10–90°, by intensity)
2theta, d (Å), intensity
32.0, 2.796, 1000
29.9, 2.992, 599
54.4, 1.687, 438
42.7, 2.116, 223
58.3, 1.582, 175
66.9, 1.398, 115
70.4, 1.338, 98
71.5, 1.319, 94
48.9, 1.863, 75
87.1, 1.118, 60

Crystal structure
abc: 6.338 6.338 5.990
angles: 90.01 90.01 56.27
Element x y z (fractional)
Pm 0.162 0.162 0.013
Pm 0.338 0.338 0.513
Pm 0.662 0.662 0.487
Pm 0.838 0.838 0.987
Y 0.000 0.000 0.500
Tm 0.500 0.500 0.000

2.
For PrErSc2In4, DFT lattice parameters and positions (PBE) gives the computed XRD peak list in this record (CuKα).
Kinematic intensities with the Lorentz-polarization factor, no thermal factor.

Peak list (10 most intense, 2θ = 10–90°, by intensity)
2theta, d (Å), intensity
34.3, 2.616, 1000
61.4, 1.509, 266
49.3, 1.850, 175
20.8, 4.271, 143
61.2, 1.514, 87
82.5, 1.169, 76
82.4, 1.171, 74
40.4, 2.232, 61
72.3, 1.306, 54
72.1, 1.310, 53

Crystal structure
abc: 9.081 9.081 9.081
angles: 33.44 33.44 33.44
Element x y z (fractional)
Pr 0.000 0.000 0.000
Er 0.500 0.500 0.500
Sc 0.249 0.249 0.249
Sc 0.751 0.751 0.751
In 0.127 0.127 0.127
In 0.378 0.378 0.378
In 0.622 0.622 0.622
In 0.873 0.873 0.873